For LiCoS2O8, DFT lattice parameters and positions (PBE+U) gives the simulated X-ray diffraction stick pattern in this record (Cu Ka).
Intensities are scaled so that the largest is 100.

```
data_LiCoS2O8
_cell_length_a 8.246
_cell_length_b 8.257
_cell_length_c 8.861
_cell_angle_alpha 90.43
_cell_angle_beta 117.15
_cell_angle_gamma 119.63
_space_group_name_H-M_alt 'P 1'
_space_group_IT_number 1
_space_group_name_Hall 'P 1'
loop_
_atom_site_label
_atom_site_type_symbol
_atom_site_fract_x
_atom_site_fract_y
_atom_site_fract_z
_atom_site_occupancy
Li1 Li 0.000 0.000 0.000 1
Li2 Li 0.081 0.166 0.693 1
Li3 Li 0.519 0.917 0.687 1
Co1 Co 0.003 0.503 0.514 1
Co2 Co 0.392 0.197 0.595 1
Co3 Co 0.412 0.700 0.133 1
S1 S 0.203 0.814 0.309 1
S2 S 0.215 0.897 0.809 1
S3 S 0.488 0.590 0.813 1
S4 S 0.490 0.391 0.315 1
S5 S 0.896 0.316 0.810 1
S6 S 0.915 0.101 0.316 1
O1 O 0.039 0.703 0.668 1
O2 O 0.046 0.675 0.356 1
O3 O 0.076 0.070 0.473 1
O4 O 0.081 0.465 0.982 1
O5 O 0.095 0.853 0.150 1
O6 O 0.108 0.988 0.824 1
O7 O 0.309 0.249 0.143 1
O8 O 0.328 0.734 0.297 1
O9 O 0.341 0.640 0.674 1
O10 O 0.343 0.872 0.978 1
O11 O 0.378 0.024 0.756 1
O12 O 0.390 0.000 0.469 1
O13 O 0.391 0.375 0.754 1
O14 O 0.422 0.368 0.452 1
O15 O 0.485 0.620 0.979 1
O16 O 0.563 0.596 0.311 1
O17 O 0.678 0.371 0.381 1
O18 O 0.704 0.969 0.305 1
O19 O 0.705 0.714 0.843 1
O20 O 0.715 0.347 0.747 1
O21 O 0.826 0.116 0.823 1
O22 O 0.909 0.063 0.156 1
O23 O 0.972 0.335 0.680 1
O24 O 0.987 0.309 0.374 1
```

Top 8 peaks for 10° ≤ 2θ ≤ 90°, low angle first:
2θ 11.77, intensity 21, (0 0 1)
2θ 14.60, intensity 73, (1 0 0)
2θ 14.76, intensity 35, (-1 1 1)
2θ 19.99, intensity 36, (0 1 1)
2θ 24.47, intensity 58, (2 -1 0)
2θ 24.61, intensity 100, (1 1 -2)
2θ 32.01, intensity 27, (1 1 1)
2θ 32.27, intensity 23, (1 1 -3)